The following is a simulated X-ray diffraction stick pattern of BaZn3Pt2. It was derived from a cell relaxed with GGA-PBE, using Cu Kα, 1.54184 Å.
Lines closer than 0.1° are merged.

Structural model:
a = 6.6756 Å, b = 6.6756 Å, c = 5.6663 Å
α = 90.00°, β = 90.00°, γ = 76.21°
Fractional coordinates of all 12 atoms:
Ba 0.1659 0.8341 0.7500
Ba 0.8341 0.1659 0.2500
Zn 0.0335 0.5793 0.2500
Zn 0.4207 0.9665 0.2500
Zn 0.4282 0.5718 0.2500
Zn 0.5718 0.4282 0.7500
Zn 0.5793 0.0335 0.7500
Zn 0.9665 0.4207 0.7500
Pt 0.2966 0.2966 0.0000
Pt 0.2966 0.2966 0.5000
Pt 0.7034 0.7034 0.0000
Pt 0.7034 0.7034 0.5000

The 12 most intense peaks (10 to 80 degrees two-theta), sorted by position:
2θ (°), Rel. int.
16.88, 66
27.52, 45
27.68, 63
31.80, 47
31.95, 49
36.02, 71
38.57, 100
42.37, 86
42.48, 51
47.41, 48
53.32, 43
55.05, 57